Th3Zn2Rh6: computed X-ray powder pattern (Cu Kα), based on the PBE geometry in Alexandria.
Lines closer than 0.1° are merged.

Atomic structure:
Cell lengths 8.2381, 8.2381, 8.2381 Å; angles 109.47, 109.47, 109.47 degrees
Element x y z (fractional)
Th1 0.0000 0.2969 0.2969
Th2 0.0000 0.7031 0.7031
Th3 0.2969 0.0000 0.2969
Th4 0.2969 0.2969 0.0000
Th5 0.7031 0.0000 0.7031
Th6 0.7031 0.7031 0.0000
Zn1 0.0000 0.0000 0.5000
Zn2 0.0000 0.5000 0.0000
Zn3 0.5000 0.0000 0.0000
Zn4 0.5000 0.5000 0.5000
Rh1 0.0000 0.3480 0.6520
Rh2 0.0000 0.6520 0.3480
Rh3 0.3040 0.6520 0.6520
Rh4 0.3480 0.0000 0.6520
Rh5 0.3480 0.3480 0.6960
Rh6 0.3480 0.6520 0.0000
Rh7 0.3480 0.6960 0.3480
Rh8 0.6520 0.0000 0.3480
Rh9 0.6520 0.3040 0.6520
Rh10 0.6520 0.3480 0.0000
Rh11 0.6520 0.6520 0.3040
Rh12 0.6960 0.3480 0.3480

Main lines, in order of rising 2θ (2θ from 5° to 70°):
2θ 22.90, I = 14.7; 2θ 29.70, I = 26.5; 2θ 32.61, I = 31.8; 2θ 35.30, I = 19.4; 2θ 37.83, I = 12.6; 2θ 40.22, I = 100.0; 2θ 52.70, I = 22.7; 2θ 56.40, I = 11.4; 2θ 59.94, I = 10.5; 2θ 65.04, I = 10.6